Entry 1:
Theoretical powder X-ray diffraction pattern
Compound: NaV3P3O13
Radiation: λ = 1.5418 Å (Cu Kα)
Structure: a DFT-relaxed cell (PBE+U, the Materials Project)

a = 7.472 Å, b = 6.387 Å, c = 10.683 Å
α = 90.00°, β = 99.31°, γ = 90.00°
Positions (direct):
Na 0.157 0.250 0.184
Na 0.843 0.750 0.816
V 0.144 0.250 0.802
V 0.275 0.750 0.446
V 0.500 0.000 0.000
V 0.500 0.500 0.000
V 0.725 0.250 0.554
V 0.856 0.750 0.198
P 0.192 0.750 0.122
P 0.244 0.750 0.769
P 0.280 0.250 0.523
P 0.720 0.750 0.477
P 0.756 0.250 0.231
P 0.808 0.250 0.878
O 0.007 0.250 0.951
O 0.127 0.559 0.793
O 0.127 0.941 0.793
O 0.150 0.750 0.260
O 0.156 0.250 0.627
O 0.232 0.055 0.439
O 0.232 0.445 0.439
O 0.296 0.550 0.097
O 0.296 0.950 0.097
O 0.306 0.750 0.641
O 0.362 0.250 0.905
O 0.416 0.750 0.878
O 0.480 0.250 0.590
O 0.520 0.750 0.410
O 0.584 0.250 0.122
O 0.638 0.750 0.095
O 0.694 0.250 0.359
O 0.704 0.050 0.903
O 0.704 0.450 0.903
O 0.768 0.555 0.561
O 0.768 0.945 0.561
O 0.844 0.750 0.373
O 0.850 0.250 0.740
O 0.873 0.059 0.207
O 0.873 0.441 0.207
O 0.993 0.750 0.049

Peak list (12 most intense, 2θ from 15° to 90°, low angle first)
| two_theta | I/Imax | index |
| --- | --- | --- |
| 16.23 | 42 | 0 1 1 |
| 19.05 | 79 | 1 0 -2 |
| 22.26 | 45 | 1 0 2 |
| 24.14 | 59 | 2 0 0 |
| 25.35 | 33 | 0 0 3 |
| 26.88 | 41 | 2 0 1 |
| 27.94 | 85 | 0 2 0 |
| 29.00 | 43 | 0 1 3 |
| 29.88 | 62 | 1 0 3 |
| 32.22 | 100 | 2 0 -3 |
| 37.26 | 34 | 2 2 0 |
| 38.09 | 36 | 0 2 3 |

---

Entry 2:
Theoretical powder X-ray diffraction pattern
Compound: Na2VPO6
Radiation: λ = 1.5418 Å (Cu Kα)
Structure: a DFT-relaxed cell (PBE+U, the Materials Project)

a = 11.467 Å, b = 4.930 Å, c = 9.028 Å
α = 90.00°, β = 90.00°, γ = 90.00°
Positions (direct):
Na 0.081 0.014 0.000
Na 0.127 0.539 0.299
Na 0.373 0.039 0.799
Na 0.419 0.514 0.500
Na 0.581 0.486 0.000
Na 0.627 0.961 0.299
Na 0.873 0.461 0.799
Na 0.919 0.986 0.500
V 0.125 0.473 0.678
V 0.375 0.973 0.178
V 0.625 0.027 0.678
V 0.875 0.527 0.178
P 0.221 0.086 0.484
P 0.279 0.586 0.984
P 0.721 0.414 0.484
P 0.779 0.914 0.984
O 0.013 0.682 0.648
O 0.064 0.251 0.792
O 0.098 0.234 0.490
O 0.217 0.747 0.111
O 0.219 0.780 0.504
O 0.223 0.662 0.830
O 0.277 0.162 0.330
O 0.281 0.280 0.004
O 0.283 0.247 0.611
O 0.402 0.734 0.990
O 0.436 0.751 0.292
O 0.487 0.182 0.148
O 0.513 0.818 0.648
O 0.564 0.249 0.792
O 0.598 0.266 0.490
O 0.717 0.753 0.111
O 0.719 0.720 0.504
O 0.723 0.838 0.830
O 0.777 0.338 0.330
O 0.781 0.220 0.004
O 0.783 0.253 0.611
O 0.902 0.766 0.990
O 0.936 0.749 0.292
O 0.987 0.318 0.148

Peak list (12 most intense, 2θ from 15° to 90°, low angle first)
| two_theta | I/Imax | index |
| --- | --- | --- |
| 15.45 | 23 | 2 0 0 |
| 18.33 | 71 | 2 0 1 |
| 19.62 | 39 | 1 1 0 |
| 21.95 | 27 | 1 1 1 |
| 25.11 | 19 | 2 0 2 |
| 27.91 | 100 | 1 1 2 |
| 31.22 | 82 | 3 1 1 |
| 35.80 | 59 | 1 1 3 |
| 38.40 | 22 | 2 1 3 |
| 48.72 | 17 | 4 2 0 |
| 50.43 | 43 | 2 2 3 |
| 59.66 | 18 | 3 1 5 |

---

Entry 3:
Theoretical powder X-ray diffraction pattern
Compound: NaVZnP2O9
Radiation: λ = 1.5418 Å (Cu Kα)
Structure: a DFT-relaxed cell (PBE+U, the Materials Project)

a = 8.707 Å, b = 8.936 Å, c = 9.092 Å
α = 90.00°, β = 92.65°, γ = 90.00°
Positions (direct):
Na 0.184 0.040 0.033
Na 0.184 0.460 0.533
Na 0.816 0.540 0.467
Na 0.816 0.960 0.967
V 0.422 0.004 0.750
V 0.422 0.496 0.250
V 0.578 0.504 0.750
V 0.578 0.996 0.250
Zn 0.090 0.645 0.091
Zn 0.090 0.855 0.591
Zn 0.910 0.145 0.409
Zn 0.910 0.355 0.909
P 0.043 0.140 0.723
P 0.043 0.360 0.223
P 0.483 0.750 0.003
P 0.483 0.750 0.503
P 0.517 0.250 0.497
P 0.517 0.250 0.997
P 0.957 0.640 0.777
P 0.957 0.860 0.277
O 0.032 0.647 0.623
O 0.032 0.853 0.123
O 0.079 0.574 0.890
O 0.079 0.926 0.390
O 0.107 0.210 0.186
O 0.107 0.290 0.686
O 0.173 0.011 0.735
O 0.173 0.489 0.235
O 0.376 0.646 0.408
O 0.376 0.854 0.908
O 0.378 0.658 0.104
O 0.378 0.842 0.604
O 0.394 0.013 0.228
O 0.394 0.487 0.728
O 0.399 0.157 0.900
O 0.399 0.343 0.400
O 0.421 0.147 0.593
O 0.421 0.353 0.093
O 0.579 0.647 0.907
O 0.579 0.853 0.407
O 0.601 0.657 0.600
O 0.601 0.843 0.100
O 0.606 0.513 0.272
O 0.606 0.987 0.772
O 0.622 0.158 0.396
O 0.622 0.342 0.896
O 0.624 0.146 0.092
O 0.624 0.354 0.592
O 0.827 0.511 0.765
O 0.827 0.989 0.265
O 0.893 0.710 0.314
O 0.893 0.790 0.814
O 0.921 0.074 0.610
O 0.921 0.426 0.110
O 0.968 0.147 0.877
O 0.968 0.353 0.377

Peak list (12 most intense, 2θ from 15° to 90°, low angle first)
| two_theta | I/Imax | index |
| --- | --- | --- |
| 16.98 | 92 | 1 1 -1 |
| 20.42 | 100 | 2 0 0 |
| 24.25 | 19 | 1 2 -1 |
| 24.64 | 29 | 1 1 2 |
| 28.02 | 38 | 0 2 2 |
| 29.55 | 36 | 1 2 -2 |
| 30.00 | 36 | 2 2 -1 |
| 30.19 | 45 | 1 2 2 |
| 33.54 | 19 | 3 1 -1 |
| 34.37 | 33 | 2 2 -2 |
| 41.74 | 23 | 1 4 0 |
| 43.55 | 23 | 1 3 -3 |

---

Entry 4:
Theoretical powder X-ray diffraction pattern
Compound: NaPW2O8
Radiation: λ = 1.5418 Å (Cu Kα)
Structure: a DFT-relaxed cell (PBE+U, the Materials Project)

a = 6.848 Å, b = 5.468 Å, c = 9.156 Å
α = 90.00°, β = 99.19°, γ = 90.00°
Positions (direct):
Na 0.225 0.250 0.064
Na 0.775 0.750 0.936
P 0.278 0.750 0.877
P 0.722 0.250 0.123
W 0.140 0.250 0.408
W 0.450 0.750 0.253
W 0.550 0.250 0.747
W 0.860 0.750 0.592
O 0.000 0.000 0.500
O 0.000 0.500 0.500
O 0.066 0.750 0.791
O 0.254 0.750 0.044
O 0.282 0.008 0.303
O 0.282 0.492 0.303
O 0.359 0.250 0.581
O 0.390 0.515 0.849
O 0.390 0.985 0.849
O 0.610 0.015 0.151
O 0.610 0.485 0.151
O 0.641 0.750 0.419
O 0.718 0.508 0.697
O 0.718 0.992 0.697
O 0.746 0.250 0.956
O 0.934 0.250 0.209

Peak list (12 most intense, 2θ from 15° to 90°, low angle first)
| two_theta | I/Imax | index |
| --- | --- | --- |
| 17.59 | 30 | 1 0 1 |
| 22.20 | 100 | 1 1 -1 |
| 25.40 | 36 | 1 0 2 |
| 27.32 | 22 | 1 1 -2 |
| 30.39 | 12 | 2 0 -2 |
| 31.11 | 20 | 2 1 0 |
| 32.76 | 17 | 0 2 0 |
| 33.98 | 47 | 0 1 3 |
| 45.29 | 19 | 2 2 -2 |
| 52.60 | 22 | 1 3 -1 |
| 57.38 | 14 | 1 1 5 |
| 59.26 | 11 | 0 3 3 |